# 1
La2AlTe2: calculated X-ray powder pattern (Cu Kα (weighted mean of Kα1 and Kα2)), based on a structure optimized by DFT (PBE).

Peak list (8 most intense, 2θ from 10° to 80°, in order of rising 2θ)
2θ 14.5, intensity 20
2θ 31.2, intensity 100
2θ 32.8, intensity 27
2θ 42.1, intensity 10
2θ 44.5, intensity 12
2θ 48.3, intensity 14
2θ 54.4, intensity 13
2θ 61.7, intensity 20

Atomic structure:
Cell: 8.640 8.640 4.289 Å, 90.00 90.00 90.00°
Fractional coordinates of all 10 atoms:
La (0.159, 0.341, 0.000)
La (0.341, 0.841, 0.000)
La (0.659, 0.159, 0.000)
La (0.841, 0.659, 0.000)
Al (0.000, 0.000, 0.000)
Al (0.500, 0.500, 0.000)
Te (0.147, 0.647, 0.500)
Te (0.353, 0.147, 0.500)
Te (0.647, 0.853, 0.500)
Te (0.853, 0.353, 0.500)



# 2
LaAlTe2: calculated X-ray powder pattern (Cu Kα (weighted mean of Kα1 and Kα2)), based on a structure optimized by DFT (PBE).

Peak list (8 most intense, 2θ from 10° to 80°, in order of rising 2θ)
2θ 25.0, intensity 20
2θ 29.3, intensity 100
2θ 30.1, intensity 46
2θ 30.2, intensity 22
2θ 36.3, intensity 40
2θ 36.5, intensity 25
2θ 40.5, intensity 21
2θ 51.3, intensity 25

Atomic structure:
Cell: 4.464 4.451 6.343 Å, 90.00 110.35 90.00°
Fractional coordinates of all 4 atoms:
La (0.000, 0.000, 0.000)
Al (0.300, 0.500, 0.396)
Te (0.425, 0.500, 0.846)
Te (0.718, 0.000, 0.417)



# 3
LaTiAl: calculated X-ray powder pattern (Cu Kα (weighted mean of Kα1 and Kα2)), based on a structure optimized by DFT (PBE).

Peak list (8 most intense, 2θ from 10° to 80°, in order of rising 2θ)
2θ 22.0, intensity 80
2θ 22.5, intensity 53
2θ 31.4, intensity 68
2θ 31.7, intensity 78
2θ 31.9, intensity 50
2θ 32.0, intensity 100
2θ 32.4, intensity 85
2θ 37.9, intensity 60

Atomic structure:
Cell: 5.904 5.904 7.677 Å, 128.65 128.65 47.39°
Fractional coordinates of all 6 atoms:
La (0.234, 0.234, 0.304)
La (0.766, 0.766, 0.696)
Ti (0.108, 0.108, 0.773)
Ti (0.892, 0.892, 0.227)
Al (0.453, 0.453, 0.122)
Al (0.547, 0.547, 0.878)



# 4
LaTiAlV: calculated X-ray powder pattern (Cu Kα (weighted mean of Kα1 and Kα2)), based on a structure optimized by DFT (PBE).

Peak list (8 most intense, 2θ from 10° to 80°, in order of rising 2θ)
2θ 12.0, intensity 25
2θ 24.2, intensity 22
2θ 26.5, intensity 23
2θ 29.2, intensity 46
2θ 36.2, intensity 100
2θ 37.8, intensity 54
2θ 54.5, intensity 18
2θ 67.1, intensity 31

Atomic structure:
Cell: 3.369 3.370 7.352 Å, 90.00 90.10 90.00°
Fractional coordinates of all 4 atoms:
La (0.000, 0.000, 0.000)
Ti (0.002, 0.000, 0.527)
Al (0.501, 0.500, 0.322)
V (0.502, 0.500, 0.693)



# 5
LaTiAlV: calculated X-ray powder pattern (Cu Kα (weighted mean of Kα1 and Kα2)), based on a structure optimized by DFT (PBE).

Peak list (8 most intense, 2θ from 10° to 80°, in order of rising 2θ)
2θ 15.4, intensity 21
2θ 25.0, intensity 43
2θ 31.2, intensity 34
2θ 37.1, intensity 100
2θ 39.7, intensity 20
2θ 41.7, intensity 19
2θ 51.3, intensity 17
2θ 70.3, intensity 21

Atomic structure:
Cell: 3.306 4.543 5.741 Å, 90.00 90.00 90.00°
Fractional coordinates of all 4 atoms:
La (0.000, 0.000, 0.000)
Ti (0.000, 0.500, 0.439)
Al (0.500, 0.000, 0.520)
V (0.500, 0.500, 0.788)



# 6
LaTiAlV: calculated X-ray powder pattern (Cu Kα (weighted mean of Kα1 and Kα2)), based on a structure optimized by DFT (PBE).

Peak list (8 most intense, 2θ from 10° to 80°, in order of rising 2θ)
2θ 23.0, intensity 100
2θ 25.3, intensity 28
2θ 33.0, intensity 75
2θ 37.8, intensity 63
2θ 39.0, intensity 88
2θ 51.9, intensity 20
2θ 54.4, intensity 33
2θ 55.4, intensity 20

Atomic structure:
Cell: 4.620 4.620 5.614 Å, 114.33 114.33 60.06°
Fractional coordinates of all 4 atoms:
La (0.000, 0.000, 0.000)
Ti (0.806, 0.806, 0.420)
Al (0.522, 0.522, 0.565)
V (0.207, 0.207, 0.621)



# 7
La6AlTl: calculated X-ray powder pattern (Cu Kα (weighted mean of Kα1 and Kα2)), based on a structure optimized by DFT (PBE).

Peak list (8 most intense, 2θ from 10° to 80°, in order of rising 2θ)
2θ 30.3, intensity 100
2θ 30.9, intensity 48
2θ 31.5, intensity 47
2θ 35.0, intensity 70
2θ 37.0, intensity 28
2θ 49.2, intensity 17
2θ 51.4, intensity 30
2θ 52.3, intensity 22

Atomic structure:
Cell: 5.961 6.189 7.408 Å, 72.51 89.95 79.47°
Fractional coordinates of all 8 atoms:
La (0.002, 0.495, 0.237)
La (0.275, 0.965, 0.128)
La (0.277, 0.966, 0.639)
La (0.723, 0.034, 0.361)
La (0.725, 0.035, 0.872)
La (0.998, 0.505, 0.763)
Al (0.500, 0.500, 0.000)
Tl (0.500, 0.500, 0.500)



# 8
La5Al2Tl: calculated X-ray powder pattern (Cu Kα (weighted mean of Kα1 and Kα2)), based on a structure optimized by DFT (PBE).

Peak list (8 most intense, 2θ from 10° to 80°, in order of rising 2θ)
2θ 24.8, intensity 40
2θ 28.4, intensity 56
2θ 30.1, intensity 100
2θ 30.6, intensity 38
2θ 32.3, intensity 90
2θ 34.3, intensity 79
2θ 49.3, intensity 34
2θ 53.0, intensity 36

Atomic structure:
Cell: 9.475 9.475 9.475 Å, 128.26 128.26 76.21°
Fractional coordinates of all 16 atoms:
La (0.000, 0.000, 0.000)
La (0.025, 0.525, 0.846)
La (0.179, 0.025, 0.500)
La (0.321, 0.821, 0.846)
La (0.475, 0.321, 0.500)
La (0.500, 0.500, 0.000)
La (0.525, 0.679, 0.500)
La (0.679, 0.179, 0.154)
La (0.821, 0.975, 0.500)
La (0.975, 0.475, 0.154)
Al (0.115, 0.385, 0.500)
Al (0.385, 0.885, 0.269)
Al (0.615, 0.115, 0.731)
Al (0.885, 0.615, 0.500)
Tl (0.250, 0.250, 0.000)
Tl (0.750, 0.750, 0.000)